Simulated X-ray diffraction stick pattern of Ca8Mn7CrO23 for a wavelength of 1.5418 Å, from the GGA+U geometry in the Materials Project.
No peak broadening, texture or thermal motion is included.

Cell and atoms:
```
Ca8Mn7CrO23
1.0
7.599 0.000 0.000
0.000 7.599 0.000
0.000 0.000 7.707
Ca Mn Cr O
8 7 1 23
direct
0.235 0.235 0.000
0.235 0.765 0.000
0.240 0.240 0.511
0.240 0.760 0.511
0.760 0.240 0.511
0.760 0.760 0.511
0.765 0.235 0.000
0.765 0.765 0.000
0.000 0.000 0.259
0.000 0.000 0.756
0.000 0.500 0.262
0.000 0.500 0.754
0.500 0.000 0.262
0.500 0.000 0.754
0.500 0.500 0.761
0.500 0.500 0.248
0.000 0.000 0.007
0.000 0.000 0.509
0.000 0.249 0.253
0.000 0.249 0.765
0.000 0.500 0.009
0.000 0.500 0.508
0.000 0.751 0.253
0.000 0.751 0.765
0.249 0.000 0.253
0.249 0.000 0.765
0.252 0.500 0.733
0.259 0.500 0.292
0.500 0.000 0.009
0.500 0.000 0.508
0.500 0.252 0.733
0.500 0.259 0.292
0.500 0.500 0.017
0.500 0.741 0.292
0.500 0.748 0.733
0.741 0.500 0.292
0.748 0.500 0.733
0.751 0.000 0.253
0.751 0.000 0.765
```

Main lines, sorted by position (15° ≤ 2θ ≤ 90°):
index  two_theta  d_spacing  Rel. int.
2 0 0  23.4  3.799  16
2 0 2  33.1  2.705  100
2 2 0  33.4  2.687  44
0 0 4  47.2  1.927  24
4 0 0  47.9  1.900  47
2 2 4  59.0  1.566  17
4 2 2  59.5  1.555  32
4 0 4  69.5  1.353  24